Record 1
This entry pairs a crystal structure of RbHg9Pd2 with its theoretical XRD peak list. Radiation: Cu Kα (λ = 1.5418 Å). Structure: a crystal structure in Alexandria, relaxed with GGA-PBE.
Intensities are scaled so that the largest is 100.

Structure:
a = 9.3907 Å, b = 9.3907 Å, c = 4.1837 Å
α = 90.00°, β = 90.00°, γ = 120.00°
Space group P6/mmm (No. 191)
One atom of each set of equivalent atoms:
Rb: 0.0000 0.0000 0.0000 x1
Hg: 0.0000 0.5000 0.0000 x3
Hg: 0.2006 0.4013 0.5000 x6
Pd: 0.3333 0.6667 0.0000 x2

Largest 10 diffraction maxima, sorted by position, 15° ≤ 2θ ≤ 90°:
29.0 deg, intensity 17.5; 30.7 deg, intensity 100.0; 36.3 deg, intensity 81.6; 38.3 deg, intensity 53.8; 39.6 deg, intensity 16.5; 43.3 deg, intensity 24.2; 48.8 deg, intensity 13.0; 59.2 deg, intensity 30.7; 61.1 deg, intensity 24.2; 64.6 deg, intensity 13.8

Record 2
This entry pairs a crystal structure of Ac4In3 with its theoretical XRD peak list. Radiation: Cu Kα (λ = 1.5418 Å). Structure: a crystal structure in Alexandria, relaxed with GGA-PBE.
Intensities are scaled so that the largest is 100.

Structure:
a = 5.7397 Å, b = 5.7397 Å, c = 27.9370 Å
α = 90.00°, β = 90.00°, γ = 120.00°
Space group R-3m (No. 166, hexagonal axes)
One atom of each set of equivalent atoms:
Ac: 0.0000 0.0000 0.1208 x6
Ac: 0.0000 0.0000 0.3727 x6
In: 0.0000 0.0000 0.2497 x6
In: 0.0000 0.0000 0.5000 x3

Largest 10 diffraction maxima, sorted by position, 15° ≤ 2θ ≤ 90°:
21.9 deg, intensity 42.2; 31.2 deg, intensity 100.0; 31.3 deg, intensity 96.8; 44.8 deg, intensity 36.6; 55.5 deg, intensity 58.8; 55.8 deg, intensity 18.0; 65.0 deg, intensity 12.4; 65.3 deg, intensity 11.2; 73.9 deg, intensity 16.8; 74.1 deg, intensity 15.6

Record 3
This entry pairs a crystal structure of Zr4BiH with its theoretical XRD peak list. Radiation: Cu Kα (λ = 1.5418 Å). Structure: a crystal structure in Alexandria, relaxed with GGA-PBE.
Intensities are scaled so that the largest is 100.

Structure:
a = 8.1657 Å, b = 13.7034 Å, c = 5.7107 Å
α = 90.00°, β = 126.52°, γ = 90.00°
Space group C2/c (No. 15)
One atom of each set of equivalent atoms:
Zr: 0.1321 0.2172 0.1324 x8
Zr: 0.1975 0.0606 0.6106 x8
Bi: 0.0000 0.3980 0.7500 x4
H: 0.0000 0.1309 0.2500 x4

Largest 10 diffraction maxima, sorted by position, 15° ≤ 2θ ≤ 90°:
23.3 deg, intensity 34.0; 25.6 deg, intensity 68.1; 33.5 deg, intensity 61.6; 33.9 deg, intensity 39.9; 34.3 deg, intensity 81.2; 35.5 deg, intensity 34.7; 35.7 deg, intensity 100.0; 39.5 deg, intensity 17.4; 41.4 deg, intensity 34.7; 41.8 deg, intensity 29.4

Record 4
This entry pairs a crystal structure of TbErSiIr with its theoretical XRD peak list. Radiation: Cu Kα (λ = 1.5418 Å). Structure: a crystal structure in Alexandria, relaxed with GGA-PBE.
Intensities are scaled so that the largest is 100.

Structure:
a = 3.9594 Å, b = 4.1692 Å, c = 10.5655 Å
α = 90.00°, β = 90.00°, γ = 90.00°
Space group Amm2 (No. 38)
One atom of each set of equivalent atoms:
Tb: 0.0000 0.0000 0.0000 x2
Er: 0.5000 0.0000 0.2832 x2
Si: 0.5000 0.0000 0.5773 x2
Ir: 0.0000 0.0000 0.7203 x2

Largest 10 diffraction maxima, sorted by position, 15° ≤ 2θ ≤ 90°:
16.8 deg, intensity 19.8; 32.3 deg, intensity 100.0; 33.3 deg, intensity 39.4; 33.9 deg, intensity 24.0; 40.5 deg, intensity 49.0; 41.1 deg, intensity 20.7; 43.4 deg, intensity 22.5; 45.8 deg, intensity 19.3; 57.8 deg, intensity 16.5; 65.0 deg, intensity 13.7

Record 5
This entry pairs a crystal structure of La3Sm4Te8 with its theoretical XRD peak list. Radiation: Cu Kα (λ = 1.5418 Å). Structure: a crystal structure in Alexandria, relaxed with GGA-PBE.
Intensities are scaled so that the largest is 100.

Structure:
a = 12.7113 Å, b = 12.7180 Å, c = 8.9583 Å
α = 90.00°, β = 134.76°, γ = 90.00°
Space group C2/m (No. 12)
One atom of each set of equivalent atoms:
La: 0.0000 0.0000 0.0000 x2
La: 0.2500 0.2500 0.0000 x4
Sm: 0.0000 0.5000 0.0000 x2
Sm: 0.0000 0.5000 0.5000 x2
Sm: 0.2500 0.2500 0.5000 x4
Te: 0.0000 0.2476 0.5000 x4
Te: 0.0000 0.2529 0.0000 x4
Te: 0.2489 0.5000 0.0039 x4
Te: 0.2501 0.0000 0.5058 x4

Largest 10 diffraction maxima, sorted by position, 15° ≤ 2θ ≤ 90°:
28.1 deg, intensity 100.0; 40.0 deg, intensity 12.9; 40.1 deg, intensity 50.9; 40.3 deg, intensity 12.6; 49.5 deg, intensity 13.8; 49.8 deg, intensity 13.6; 58.0 deg, intensity 12.8; 65.7 deg, intensity 23.5; 72.7 deg, intensity 8.7; 73.0 deg, intensity 8.5

Record 6
This entry pairs a crystal structure of LiGa2Ag7 with its theoretical XRD peak list. Radiation: Cu Kα (λ = 1.5418 Å). Structure: a crystal structure in Alexandria, relaxed with GGA-PBE.
Intensities are scaled so that the largest is 100.

Structure:
a = 7.6191 Å, b = 12.6218 Å, c = 4.6732 Å
α = 90.00°, β = 90.00°, γ = 90.00°
Space group Cmmm (No. 65)
One atom of each set of equivalent atoms:
Li: 0.0000 0.0000 0.0000 x2
Ga: 0.0000 0.2983 0.5000 x4
Ag: 0.0000 0.2106 0.0000 x4
Ag: 0.0000 0.5000 0.5000 x2
Ag: 0.1827 0.1145 0.5000 x8

Largest 10 diffraction maxima, sorted by position, 15° ≤ 2θ ≤ 90°:
19.0 deg, intensity 100.0; 23.7 deg, intensity 30.7; 34.3 deg, intensity 31.5; 36.1 deg, intensity 30.2; 37.0 deg, intensity 53.9; 38.5 deg, intensity 62.9; 41.1 deg, intensity 69.4; 42.4 deg, intensity 89.2; 46.0 deg, intensity 35.5; 54.5 deg, intensity 33.4

Record 7
This entry pairs a crystal structure of Rb3In4Hg2 with its theoretical XRD peak list. Radiation: Cu Kα (λ = 1.5418 Å). Structure: a crystal structure in Alexandria, relaxed with GGA-PBE.
Intensities are scaled so that the largest is 100.

Structure:
a = 13.6777 Å, b = 5.1971 Å, c = 11.1413 Å
α = 90.00°, β = 123.09°, γ = 90.00°
Space group C2/m (No. 12)
One atom of each set of equivalent atoms:
Rb: 0.0000 0.0000 0.0000 x2
Rb: 0.2187 0.5000 0.6306 x4
In: 0.0208 0.0000 0.6481 x4
In: 0.2410 0.5000 0.0667 x4
Hg: 0.0013 0.5000 0.2329 x4

Largest 10 diffraction maxima, sorted by position, 15° ≤ 2θ ≤ 90°:
15.5 deg, intensity 25.3; 16.7 deg, intensity 28.4; 26.8 deg, intensity 100.0; 29.8 deg, intensity 56.9; 30.6 deg, intensity 68.4; 31.2 deg, intensity 52.5; 34.5 deg, intensity 47.4; 38.0 deg, intensity 21.6; 39.0 deg, intensity 25.0; 47.2 deg, intensity 34.5

Record 8
This entry pairs a crystal structure of Ce6ZnIn5 with its theoretical XRD peak list. Radiation: Cu Kα (λ = 1.5418 Å). Structure: a crystal structure in Alexandria, relaxed with GGA-PBE.
Intensities are scaled so that the largest is 100.

Structure:
a = 4.6797 Å, b = 9.5047 Å, c = 7.3915 Å
α = 90.00°, β = 107.97°, γ = 90.00°
Space group P2/m (No. 10)
One atom of each set of equivalent atoms:
Ce: 0.0000 0.2426 0.0000 x2
Ce: 0.3376 0.2462 0.6764 x4
Zn: 0.5000 0.0000 0.0000 x1
In: 0.1674 0.0000 0.3340 x2
In: 0.1683 0.5000 0.3360 x2
In: 0.5000 0.5000 0.0000 x1

Largest 10 diffraction maxima, sorted by position, 15° ≤ 2θ ≤ 90°:
32.9 deg, intensity 100.0; 33.1 deg, intensity 98.4; 37.9 deg, intensity 33.8; 38.4 deg, intensity 65.1; 55.1 deg, intensity 44.6; 65.2 deg, intensity 13.1; 65.4 deg, intensity 13.0; 65.9 deg, intensity 25.6; 66.2 deg, intensity 12.5; 66.3 deg, intensity 12.7